Starting from a crystal structure in Alexandria, relaxed with GGA+U, the powder XRD pattern of Mn5O3F5 was computed for Cu Kα, 1.54184 Å.

Atomic structure:
```
13
Lattice="5.5068 -3.1402 0.0000 5.5068 3.1402 0.0000 -3.2705 0.0000 5.2001" Properties=species:S:1:pos:R:3 pbc="T T T"
Mn 0.0000 0.0000 0.0000
Mn 4.7251 1.6403 3.1235
Mn 3.5367 0.0000 0.5973
Mn 7.1276 0.0000 1.3050
Mn 4.7251 -1.6403 3.1235
O -0.1479 0.0000 1.9689
O -1.3975 0.0000 4.4237
O 5.2175 0.0000 1.9779
F 0.9999 1.6114 4.5118
F 2.7951 1.5748 1.9091
F 0.9999 -1.6114 4.5118
F 2.7951 -1.5748 1.9091
F 4.0099 0.0000 4.4220
```

Most intense lines, 10° ≤ 2θ ≤ 90°, sorted by position:
2θ (°), I_rel
17.53, 48
28.22, 80
31.88, 47
33.33, 100
33.61, 68
57.01, 54

***

Starting from a crystal structure in Alexandria, relaxed with GGA+U, the powder XRD pattern of Rb2MnSO4F3 was computed for Cu Kα, 1.54184 Å.

Atomic structure:
```
44
Lattice="7.4740 0.0000 0.0000 0.0000 11.3788 0.0000 -0.4185 0.0000 8.9274" Properties=species:S:1:pos:R:3 pbc="T T T"
Rb 1.3027 2.1773 2.9620
Rb 1.0934 3.5121 7.4257
Rb 1.9078 7.8636 7.3994
Rb 2.1170 9.2046 2.9357
Rb 4.9385 2.1742 5.9917
Rb 5.1478 3.5152 1.5280
Rb 5.9621 7.8667 1.5017
Rb 5.7529 9.2015 5.9654
Mn 0.0000 0.0000 0.0000
Mn -0.2092 5.6894 4.4637
Mn 3.7370 0.0000 0.0000
Mn 3.5278 5.6894 4.4637
S 1.5910 0.0115 6.2218
S 1.8002 5.6779 1.7581
S 5.2553 5.7009 7.1694
S 5.4645 11.3673 2.7056
O 0.4960 0.6317 7.0387
O 0.7053 5.0577 2.5750
O 1.2871 6.7943 0.9503
O 1.0779 10.2739 5.4140
O 2.2522 1.0538 5.4250
O 2.4615 4.6356 0.9613
O 2.8259 6.3127 2.7215
O 2.6167 10.7555 7.1852
O 4.4389 0.6233 1.7423
O 4.2296 5.0661 6.2060
O 4.5941 6.7432 7.9661
O 4.8033 10.3250 3.5024
O 5.9777 1.1049 3.5134
O 5.7684 4.5845 7.9771
O 6.3503 6.3211 6.3524
O 6.5595 10.7471 1.8887
F -0.0178 7.5001 4.0505
F -0.2270 9.5681 8.5142
F 1.7289 0.0141 0.9052
F 1.5196 5.6753 5.3690
F 3.1889 1.8049 8.4325
F 3.3982 3.8845 3.9688
F 3.6574 7.4943 4.9587
F 3.8666 9.5739 0.4950
F 5.5359 5.7035 3.5585
F 5.3267 11.3647 8.0222
F 7.2825 1.8107 0.4132
F 7.0733 3.8787 4.8769
```

Most intense lines, 10° ≤ 2θ ≤ 90°, sorted by position:
2θ (°), I_rel
25.52, 35
26.63, 34
27.67, 50
28.02, 52
28.45, 100
31.06, 35

***

Starting from a crystal structure in Alexandria, relaxed with GGA+U, the powder XRD pattern of Mn3SiO4F2 was computed for Cu Kα, 1.54184 Å.

Atomic structure:
```
40
Lattice="10.9544 0.0000 0.0000 0.0000 9.3224 0.0000 0.0000 0.0000 4.9266" Properties=species:S:1:pos:R:3 pbc="T T T"
Mn 0.9691 2.3306 0.0269
Mn 1.5060 5.3141 2.3949
Mn 1.5060 8.6695 2.3949
Mn 3.9712 0.6529 4.8582
Mn 3.9712 4.0083 4.8582
Mn 4.5081 6.9918 2.4902
Mn 6.4462 2.3306 2.4364
Mn 6.9832 5.3141 0.0684
Mn 6.9832 8.6695 0.0684
Mn 9.4483 0.6529 2.5317
Mn 9.4483 4.0083 2.5317
Mn 9.9853 6.9918 4.8997
Si 2.4242 6.9918 4.5385
Si 3.0529 2.3306 2.0752
Si 7.9014 6.9918 2.8514
Si 8.5301 2.3306 0.3881
O 0.9061 6.9918 3.8683
O 2.2936 1.0263 1.3738
O 2.2936 3.6349 1.3738
O 2.4460 6.9918 1.2481
O 3.0311 2.3306 3.7114
O 3.1836 5.6875 3.8371
O 3.1836 8.2961 3.8371
O 4.5710 2.3306 1.4050
O 6.3833 6.9918 3.5216
O 7.7708 1.0263 1.0895
O 7.7708 3.6349 1.0895
O 7.9232 6.9918 1.2152
O 8.5083 2.3306 3.6785
O 8.6608 5.6875 3.5528
O 8.6608 8.2961 3.5528
O 10.0482 2.3306 1.0583
F 0.3505 0.7726 3.6035
F 0.3505 3.8886 3.6035
F 5.1267 5.4338 1.1402
F 5.1267 8.5498 1.1402
F 5.8277 0.7726 3.7864
F 5.8277 3.8886 3.7864
F 10.6039 5.4338 1.3231
F 10.6039 8.5498 1.3231
```

Most intense lines, 10° ≤ 2θ ≤ 90°, sorted by position:
2θ (°), I_rel
27.57, 100
31.98, 61
33.15, 26
36.18, 26
50.10, 59
58.66, 33

***

Starting from a crystal structure in Alexandria, relaxed with GGA+U, the powder XRD pattern of SrMnOF2 was computed for Cu Kα, 1.54184 Å.

Atomic structure:
```
5
Lattice="4.1840 0.0000 0.0000 0.0000 4.1840 0.0000 0.0000 0.0000 4.1937" Properties=species:S:1:pos:R:3 pbc="T T T"
Sr 0.0000 0.0000 0.0000
Mn 2.0920 2.0920 2.0968
O 2.0920 2.0920 0.0000
F 0.0000 2.0920 2.0968
F 2.0920 0.0000 2.0968
```

Most intense lines, 10° ≤ 2θ ≤ 90°, sorted by position:
2θ (°), I_rel
30.18, 100
37.19, 19
43.14, 15
43.25, 30
53.61, 39
62.77, 27

***

Starting from a crystal structure in Alexandria, relaxed with GGA+U, the powder XRD pattern of MnVO2F5 was computed for Cu Kα, 1.54184 Å.

Atomic structure:
```
18
Lattice="-3.7043 5.7419 3.2451 3.7043 -5.7419 3.2451 3.7043 5.7419 -3.2451" Properties=species:S:1:pos:R:3 pbc="T T T"
Mn 0.0000 0.0000 0.0000
Mn 0.0000 5.7419 0.0000
V -1.8521 2.8710 1.6226
V 1.8521 2.8710 1.6226
O 3.7043 5.3078 -1.6276
O 3.7043 -0.4341 1.6276
O 0.0000 6.1760 1.6176
O 0.0000 0.4341 4.8727
F 1.4332 1.5420 0.3960
F 5.9754 1.5420 0.3960
F 3.7043 2.8710 0.9862
F 1.4332 4.1999 0.3960
F 2.2711 -1.5420 3.6411
F 1.4332 7.2839 -0.3960
F 2.2711 1.5420 2.8492
F 0.0000 2.8710 2.2589
F -2.2711 4.1999 2.8492
F 2.2711 4.1999 2.8492
```

Most intense lines, 10° ≤ 2θ ≤ 90°, sorted by position:
2θ (°), I_rel
15.68, 100
18.17, 53
23.93, 45
27.04, 20
28.68, 51
28.82, 23

***

Starting from a crystal structure in Alexandria, relaxed with GGA+U, the powder XRD pattern of ZrMnO5F6 was computed for Cu Kα, 1.54184 Å.

Atomic structure:
```
26
Lattice="6.4043 -3.8640 0.0000 6.4043 3.8640 0.0000 -4.4324 0.0000 7.6667" Properties=species:S:1:pos:R:3 pbc="T T T"
Zr 6.4043 2.0474 0.0000
Zr 6.4043 -2.0474 0.0000
Mn 1.9430 0.0000 2.9408
Mn 6.4333 0.0000 4.7259
O -1.3262 0.0000 5.7818
O 0.5393 0.0000 3.6765
O 2.7629 1.2520 3.4659
O -0.7560 0.0000 6.8162
O 5.6134 1.2520 4.2008
O 2.7629 -1.2520 3.4659
O 9.1322 0.0000 0.8505
O 5.6134 -1.2520 4.2008
O 7.8369 0.0000 3.9902
O 9.7024 0.0000 1.8849
F -3.6774 0.0000 6.7281
F 1.5174 1.2421 1.3786
F 4.9834 1.3968 1.2155
F 1.5174 -1.2421 1.3786
F 3.3928 1.3968 6.4512
F 1.1873 0.0000 6.6384
F 7.1890 0.0000 1.0283
F 4.9834 -1.3968 1.2155
F 6.8589 1.2421 6.2881
F 3.3928 -1.3968 6.4512
F 6.8589 -1.2421 6.2881
F 12.0536 0.0000 0.9386
```

Most intense lines, 10° ≤ 2θ ≤ 90°, sorted by position:
2θ (°), I_rel
11.54, 59
14.28, 100
20.54, 45
24.06, 53
25.82, 36
28.16, 66

***

Starting from a crystal structure in Alexandria, relaxed with GGA+U, the powder XRD pattern of MnPb4F10 was computed for Cu Kα, 1.54184 Å.

Atomic structure:
```
15
Lattice="2.0852 1.2039 16.7447 -2.0852 1.2039 16.7447 0.0000 -2.4078 16.7447" Properties=species:S:1:pos:R:3 pbc="T T T"
Mn 0.0000 0.0000 0.0000
Pb 0.0000 0.0000 10.1218
Pb 0.0000 0.0000 19.8145
Pb 0.0000 0.0000 30.4197
Pb 0.0000 0.0000 40.1124
F 0.0000 0.0000 2.0746
F 0.0000 0.0000 7.5372
F 0.0000 0.0000 12.8398
F 0.0000 0.0000 17.3186
F 0.0000 0.0000 22.4589
F 0.0000 0.0000 27.7752
F 0.0000 0.0000 32.9156
F 0.0000 0.0000 37.3944
F 0.0000 0.0000 42.6969
F 0.0000 0.0000 48.1596
```

Most intense lines, 10° ≤ 2θ ≤ 90°, sorted by position:
2θ (°), I_rel
26.22, 100
26.62, 28
30.48, 39
43.40, 40
43.91, 29
51.64, 28

***

Starting from a crystal structure in Alexandria, relaxed with GGA+U, the powder XRD pattern of Rb3Mn2PbF9 was computed for Cu Kα, 1.54184 Å.

Atomic structure:
```
15
Lattice="6.3011 0.0000 0.0000 -3.1506 5.4569 0.0000 0.0000 0.0000 7.8697" Properties=species:S:1:pos:R:3 pbc="T T T"
Rb 0.0000 0.0000 0.0000
Rb 0.0000 3.6380 5.3796
Rb 3.1506 1.8190 2.4900
Mn 0.0000 3.6380 1.1977
Mn 3.1506 1.8190 6.6719
Pb 0.0000 0.0000 3.9348
F -1.5753 2.7285 0.0000
F 0.0000 1.9202 2.4513
F -1.4876 4.4968 2.4513
F 1.6630 0.9601 5.4184
F 3.1506 0.0000 0.0000
F 1.5753 2.7285 0.0000
F 1.4876 4.4968 2.4513
F 4.6382 0.9601 5.4184
F 3.1506 3.5367 5.4184
```

Most intense lines, 10° ≤ 2θ ≤ 90°, sorted by position:
2θ (°), I_rel
19.80, 31
27.96, 100
28.33, 89
40.22, 75
49.92, 39
58.60, 23

***

Starting from a crystal structure in Alexandria, relaxed with GGA+U, the powder XRD pattern of Mn2Tl3PbF9 was computed for Cu Kα, 1.54184 Å.

Atomic structure:
```
15
Lattice="6.2543 0.0000 0.0000 -3.1272 5.4164 0.0000 0.0000 0.0000 8.0330" Properties=species:S:1:pos:R:3 pbc="T T T"
Mn 0.0000 3.6109 1.2587
Mn 3.1272 1.8055 6.7743
Tl 0.0000 0.0000 0.0000
Tl 0.0000 3.6109 5.7232
Tl 3.1272 1.8055 2.3098
Pb 0.0000 0.0000 4.0165
F -1.5636 2.7082 0.0000
F 0.0000 1.8646 2.4333
F -1.5124 4.4841 2.4333
F 1.6148 0.9323 5.5997
F 3.1272 0.0000 0.0000
F 1.5636 2.7082 0.0000
F 1.5124 4.4841 2.4333
F 4.6395 0.9323 5.5997
F 3.1272 3.5518 5.5997
```

Most intense lines, 10° ≤ 2θ ≤ 90°, sorted by position:
2θ (°), I_rel
19.77, 27
27.65, 100
28.54, 90
40.16, 59
50.01, 40
50.55, 19

***

Starting from a crystal structure in Alexandria, relaxed with GGA+U, the powder XRD pattern of Mn2VPbF8 was computed for Cu Kα, 1.54184 Å.

Atomic structure:
```
12
Lattice="3.6121 -3.6539 0.0000 3.6121 3.6539 0.0000 0.0000 0.0000 6.9279" Properties=species:S:1:pos:R:3 pbc="T T T"
Mn 0.0000 0.0000 1.6431
Mn 0.0000 0.0000 5.2847
V 3.6121 0.0000 0.0000
Pb 3.6121 0.0000 3.4639
F 3.6121 2.4058 3.4639
F 3.6121 2.1880 0.0000
F 2.1126 0.0000 1.5159
F 2.1126 0.0000 5.4120
F 5.1115 0.0000 1.5159
F 5.1115 0.0000 5.4120
F 3.6121 -2.1880 0.0000
F 3.6121 -2.4058 3.4639
```

Most intense lines, 10° ≤ 2θ ≤ 90°, sorted by position:
2θ (°), I_rel
21.53, 55
24.36, 74
24.65, 66
31.14, 100
47.32, 53
47.65, 45

***

Starting from a crystal structure in Alexandria, relaxed with GGA+U, the powder XRD pattern of PmMnF6 was computed for Cu Kα, 1.54184 Å.

Atomic structure:
```
16
Lattice="5.0617 0.0000 0.0000 0.0000 5.0617 0.0000 0.0000 0.0000 8.1877" Properties=species:S:1:pos:R:3 pbc="T T T"
Pm 0.0000 0.0000 2.0469
Pm 0.0000 0.0000 6.1408
Mn 2.5309 2.5309 0.0000
Mn 2.5309 2.5309 4.0939
F 0.9247 4.0360 0.0000
F 1.0257 0.9247 4.0939
F 1.4677 3.4695 2.8380
F 1.4677 3.4695 5.3497
F 1.5922 1.4677 1.2559
F 1.5922 1.4677 6.9318
F 3.4695 3.5940 1.2559
F 3.4695 3.5940 6.9318
F 3.5940 1.5922 2.8380
F 3.5940 1.5922 5.3497
F 4.0360 4.1371 4.0939
F 4.1371 1.0257 0.0000
```

Most intense lines, 10° ≤ 2θ ≤ 90°, sorted by position:
2θ (°), I_rel
17.52, 28
24.88, 98
28.03, 100
45.80, 77
51.43, 23
59.23, 23